# Pr5DySn5
Theoretical powder XRD pattern, Cu Kα X-rays. Input: the PBE geometry in Alexandria.
Intensities are scaled so that the largest is 100.

Atomic structure:
```
data_Pr5DySn5
_chemical_formula_sum 'Pr10 Dy2 Sn10'
_space_group_name_H-M_alt 'C 1 2/m 1'
_space_group_IT_number 12
_cell_length_a 14.688
_cell_length_b 6.371
_cell_length_c 8.653
_cell_angle_alpha 90.00
_cell_angle_beta 107.51
_cell_angle_gamma 90.00
loop_
_space_group_symop_operation_xyz
'x,y,z'
'-x,-y,-z'
'-x,y,-z'
'x,-y,z'
'x+1/2,y+1/2,z'
'-x+1/2,-y+1/2,-z'
'-x+1/2,y+1/2,-z'
'x+1/2,-y+1/2,z'
loop_
_atom_site_label
_atom_site_fract_x
_atom_site_fract_y
_atom_site_fract_z
Pr1 0.000 0.000 0.000
Pr2 0.166 0.500 0.331
Pr3 0.171 0.500 0.832
Dy1 0.000 0.000 0.500
Sn1 0.000 0.500 0.500
Sn2 0.162 0.000 0.337
Sn3 0.162 0.000 0.830
```

Largest 8 diffraction maxima, by angle, 5 to 70 degrees two-theta:
2θ (°), I_rel, (hkl)
28.0, 100, 0 2 0
28.2, 49, 2 0 2
38.6, 21, 6 0 0
40.0, 39, 4 2 -2
40.2, 38, 2 2 2
48.3, 23, 6 2 0
51.0, 19, 2 2 -4
65.6, 27, 2 4 2